Calculated PXRD pattern
Compound: GaNiH
Radiation: a wavelength of 1.5418 Å
Structure: the PBE geometry in Alexandria
Neutral-atom scattering factors, no anomalous dispersion.

Largest 8 diffraction maxima, by angle, 2θ = 15–90°:
2θ/deg, I_rel, (hkl)
31.7, 43, 1 2 1
38.7, 34, 1 0 2
39.7, 49, 0 2 2
41.4, 86, 2 2 0
43.8, 100, 0 4 1
45.0, 56, 2 2 1
50.4, 37, 2 0 2
79.2, 35, 2 4 3

Structural model:
Unit cell a=4.992 b=9.000 c=5.257 alpha=90.00 beta=90.00 gamma=90.00
Space group Pbca (No. 61)
One atom of each set of equivalent atoms:
Ga (0.003, 0.049, 0.240)
Ni (0.234, 0.188, 0.599)
H (0.110, 0.695, 0.892)